(1)
Diffraction record for Lu2MgS4. The powder XRD pattern is computed, not measured: it uses a crystal structure in the Materials Project, relaxed with PBE and Cu Kα.
Intensities are scaled so that the largest is 1000.

Principal peaks in the range 2θ = 10–90°, sorted by position:
2θ/deg	d (Å)	intensity
15.24	5.814	586
21.95	4.049	397
26.42	3.374	844
26.83	3.322	1000
34.05	2.633	368
34.94	2.568	409
35.05	2.561	788
40.89	2.207	674
41.65	2.169	515
50.08	1.822	347

abc: 7.0868 7.0868 7.0868
angles: 110.32 110.32 107.78
Sites, in units of the cell vectors:
Lu1 0.0074 0.6250 0.8824
Lu2 0.3750 0.2574 0.3824
Lu3 0.7426 0.1250 0.1176
Lu4 0.8750 0.9926 0.6176
Mg1 0.2500 0.7500 0.5000
Mg2 0.5000 0.5000 0.0000
S1 0.0080 0.8800 0.2599
S2 0.1200 0.3800 0.1280
S3 0.1300 0.3700 0.6280
S4 0.2520 0.9920 0.8720
S5 0.4980 0.8700 0.2401
S6 0.6200 0.7480 0.7401
S7 0.6300 0.2580 0.7599
S8 0.7420 0.5020 0.3720

(2)
Diffraction record for CeGaO3. The powder XRD pattern is computed, not measured: it uses a crystal structure in the Materials Project, relaxed with PBE and Cu Kα.
Intensities are scaled so that the largest is 1000.

Principal peaks in the range 2θ = 10–90°, sorted by position:
2θ/deg	d (Å)	intensity
20.12	4.413	220
28.60	3.121	1000
40.89	2.207	338
45.98	1.974	94
50.66	1.802	419
59.21	1.560	212
63.21	1.471	44
67.06	1.396	181
74.47	1.274	68
81.62	1.180	211

abc: 4.4135 4.4135 4.4135
angles: 90.00 90.00 90.00
Sites, in units of the cell vectors:
Ce1 0.0000 0.0000 0.0000
Ga1 0.5000 0.5000 0.5000
O1 0.0000 0.0000 0.5000
O2 0.0000 0.5000 0.0000
O3 0.5000 0.0000 0.0000

(3)
Diffraction record for YMg7. The powder XRD pattern is computed, not measured: it uses a crystal structure in the Materials Project, relaxed with PBE and Cu Kα.
Intensities are scaled so that the largest is 1000.

Principal peaks in the range 2θ = 10–90°, sorted by position:
2θ/deg	d (Å)	intensity
16.53	5.362	329
19.11	4.644	177
27.16	3.284	149
31.96	2.800	193
33.42	2.681	1000
38.78	2.322	493
42.42	2.131	87
56.01	1.642	324
66.82	1.400	370
70.21	1.341	105

abc: 6.5672 6.5672 6.5672
angles: 60.00 60.00 60.00
Sites, in units of the cell vectors:
Y1 0.0000 0.0000 0.0000
Mg1 0.0000 0.0000 0.5000
Mg2 0.0000 0.5000 0.0000
Mg3 0.0000 0.5000 0.5000
Mg4 0.5000 0.0000 0.0000
Mg5 0.5000 0.0000 0.5000
Mg6 0.5000 0.5000 0.0000
Mg7 0.5000 0.5000 0.5000

(4)
Diffraction record for KSr2Cl5. The powder XRD pattern is computed, not measured: it uses a crystal structure in the Materials Project, relaxed with PBE and Cu Kα.
Intensities are scaled so that the largest is 1000.

Principal peaks in the range 2θ = 10–90°, sorted by position:
2θ/deg	d (Å)	intensity
22.34	3.980	488
23.40	3.802	895
23.84	3.733	669
24.18	3.681	665
30.87	2.897	1000
33.12	2.705	900
33.17	2.701	820
34.14	2.626	915
40.35	2.235	637
41.76	2.163	634

abc: 8.9408 7.9595 12.9805
angles: 90.00 90.16 90.00
Sites, in units of the cell vectors:
K1 0.0016 0.0269 0.3259
K2 0.0016 0.4731 0.8259
K3 0.9984 0.5269 0.1741
K4 0.9984 0.9731 0.6741
Sr1 0.2507 0.5645 0.4951
Sr2 0.2507 0.9355 0.9951
Sr3 0.4984 0.0214 0.3235
Sr4 0.4984 0.4786 0.8235
Sr5 0.5016 0.5214 0.1765
Sr6 0.5016 0.9786 0.6765
Sr7 0.7493 0.0645 0.0049
Sr8 0.7493 0.4355 0.5049
Cl1 0.0317 0.1603 0.0937
Cl2 0.0317 0.3397 0.5937
Cl3 0.2721 0.6955 0.7130
Cl4 0.2721 0.8045 0.2130
Cl5 0.2825 0.5502 0.9969
Cl6 0.2825 0.9498 0.4969
Cl7 0.2857 0.1695 0.8173
Cl8 0.2857 0.3305 0.3173
Cl9 0.4626 0.1584 0.1026
Cl10 0.4626 0.3416 0.6026
Cl11 0.5374 0.6584 0.3974
Cl12 0.5374 0.8416 0.8974
Cl13 0.7143 0.6695 0.6827
Cl14 0.7143 0.8305 0.1827
Cl15 0.7175 0.0502 0.5031
Cl16 0.7175 0.4498 0.0031
Cl17 0.7279 0.1955 0.7870
Cl18 0.7279 0.3045 0.2870
Cl19 0.9683 0.6603 0.4063
Cl20 0.9683 0.8397 0.9063

(5)
Diffraction record for NaMg6Mn. The powder XRD pattern is computed, not measured: it uses a crystal structure in the Materials Project, relaxed with PBE and Cu Kα.
Intensities are scaled so that the largest is 1000.

Principal peaks in the range 2θ = 10–90°, sorted by position:
2θ/deg	d (Å)	intensity
16.08	5.512	111
23.68	3.757	65
32.48	2.756	253
34.94	2.568	262
37.02	2.428	1000
48.45	1.879	156
57.95	1.591	164
64.03	1.454	182
69.49	1.353	182
70.79	1.331	129

abc: 5.1352 6.3605 11.0329
angles: 90.00 90.00 90.00
Sites, in units of the cell vectors:
Na1 0.0000 0.0000 0.0000
Na2 0.0000 0.5000 0.5000
Mg1 0.0000 0.0000 0.4980
Mg2 0.0000 0.2414 0.2453
Mg3 0.0000 0.2586 0.7453
Mg4 0.0000 0.5000 0.9980
Mg5 0.0000 0.7414 0.7453
Mg6 0.0000 0.7586 0.2453
Mg7 0.5000 0.0000 0.6659
Mg8 0.5000 0.2476 0.4137
Mg9 0.5000 0.2524 0.9137
Mg10 0.5000 0.5000 0.1659
Mg11 0.5000 0.7476 0.9137
Mg12 0.5000 0.7524 0.4137
Mn1 0.5000 0.0000 0.1726
Mn2 0.5000 0.5000 0.6726

(6)
Diffraction record for Ti2MnOs. The powder XRD pattern is computed, not measured: it uses a crystal structure in the Materials Project, relaxed with PBE and Cu Kα.
Intensities are scaled so that the largest is 1000.

Principal peaks in the range 2θ = 10–90°, sorted by position:
2θ/deg	d (Å)	intensity
25.32	3.518	370
29.32	3.047	250
41.94	2.154	1000
49.62	1.837	195
51.99	1.759	73
60.81	1.523	160
66.94	1.398	84
68.92	1.362	97
76.61	1.244	319
82.21	1.173	66

abc: 6.0932 6.0932 6.0932
angles: 90.00 90.00 90.00
Sites, in units of the cell vectors:
Ti1 0.2500 0.2500 0.2500
Ti2 0.2500 0.2500 0.7500
Ti3 0.2500 0.7500 0.2500
Ti4 0.2500 0.7500 0.7500
Ti5 0.7500 0.2500 0.2500
Ti6 0.7500 0.2500 0.7500
Ti7 0.7500 0.7500 0.2500
Ti8 0.7500 0.7500 0.7500
Mn1 0.0000 0.0000 0.0000
Mn2 0.0000 0.5000 0.5000
Mn3 0.5000 0.0000 0.5000
Mn4 0.5000 0.5000 0.0000
Os1 0.0000 0.0000 0.5000
Os2 0.0000 0.5000 0.0000
Os3 0.5000 0.0000 0.0000
Os4 0.5000 0.5000 0.5000

(7)
Diffraction record for LaBeOs2. The powder XRD pattern is computed, not measured: it uses a crystal structure in the Materials Project, relaxed with PBE and Cu Kα.
Intensities are scaled so that the largest is 1000.

Principal peaks in the range 2θ = 10–90°, sorted by position:
2θ/deg	d (Å)	intensity
23.68	3.758	316
27.41	3.254	82
39.15	2.301	1000
46.26	1.962	166
56.56	1.627	173
62.17	1.493	70
70.94	1.329	353
75.97	1.253	52
84.14	1.151	114
88.98	1.100	55

abc: 6.5084 6.5084 6.5084
angles: 90.00 90.00 90.00
Sites, in units of the cell vectors:
La1 0.0000 0.0000 0.0000
La2 0.0000 0.5000 0.5000
La3 0.5000 0.0000 0.5000
La4 0.5000 0.5000 0.0000
Be1 0.2500 0.2500 0.2500
Be2 0.2500 0.7500 0.7500
Be3 0.7500 0.2500 0.7500
Be4 0.7500 0.7500 0.2500
Os1 0.0000 0.0000 0.5000
Os2 0.0000 0.5000 0.0000
Os3 0.2500 0.2500 0.7500
Os4 0.2500 0.7500 0.2500
Os5 0.5000 0.0000 0.0000
Os6 0.5000 0.5000 0.5000
Os7 0.7500 0.2500 0.2500
Os8 0.7500 0.7500 0.7500

(8)
Diffraction record for Sc7As3. The powder XRD pattern is computed, not measured: it uses a crystal structure in the Materials Project, relaxed with PBE and Cu Kα.
Intensities are scaled so that the largest is 1000.

Principal peaks in the range 2θ = 10–90°, sorted by position:
2θ/deg	d (Å)	intensity
26.15	3.407	166
33.31	2.690	151
34.48	2.601	1000
35.12	2.555	186
35.62	2.521	237
36.23	2.479	379
37.32	2.409	346
38.85	2.318	553
43.79	2.068	210
45.02	2.014	274

abc: 10.9863 10.9863 10.9863
angles: 97.72 97.72 136.99
Sites, in units of the cell vectors:
Sc1 0.0198 0.6719 0.6917
Sc2 0.0267 0.8632 0.5000
Sc3 0.1195 0.1250 0.2446
Sc4 0.1250 0.8805 0.0055
Sc5 0.1368 0.6368 0.1635
Sc6 0.1719 0.5198 0.6917
Sc7 0.2500 0.2500 0.0000
Sc8 0.2500 0.7500 0.5000
Sc9 0.3281 0.0198 0.3479
Sc10 0.3632 0.5267 0.5000
Sc11 0.3750 0.3805 0.7554
Sc12 0.3805 0.6250 0.0055
Sc13 0.4733 0.9733 0.8365
Sc14 0.4802 0.1719 0.6521
Sc15 0.5198 0.8281 0.3479
Sc16 0.5267 0.0267 0.1635
Sc17 0.6195 0.3750 0.9945
Sc18 0.6250 0.6195 0.2446
Sc19 0.6368 0.4733 0.5000
Sc20 0.6719 0.9802 0.6521
Sc21 0.7500 0.2500 0.5000
Sc22 0.7500 0.7500 0.0000
Sc23 0.8281 0.4802 0.3083
Sc24 0.8632 0.3632 0.8365
Sc25 0.8750 0.1195 0.9945
Sc26 0.8805 0.8750 0.7554
Sc27 0.9733 0.1368 0.5000
Sc28 0.9802 0.3281 0.3083
As1 0.0558 0.2500 0.8058
As2 0.2205 0.7205 0.9410
As3 0.2500 0.0558 0.8058
As4 0.2500 0.4442 0.1942
As5 0.2795 0.2205 0.5000
As6 0.4442 0.2500 0.1942
As7 0.5558 0.7500 0.8058
As8 0.7205 0.7795 0.5000
As9 0.7500 0.5558 0.8058
As10 0.7500 0.9442 0.1942
As11 0.7795 0.2795 0.0590
As12 0.9442 0.7500 0.1942